No. 1
This entry pairs a crystal structure of Ac2MgCu2 with its computed powder XRD pattern. Radiation: Cu Kα, 1.54184 Å. Structure: DFT lattice parameters and positions (PBE).
No peak broadening, texture or thermal motion is included.

```
data_Ac2MgCu2
_chemical_formula_sum 'Ac4 Mg2 Cu4'
_cell_length_a 4.412
_cell_length_b 15.231
_cell_length_c 4.113
_cell_angle_alpha 90.00
_cell_angle_beta 90.00
_cell_angle_gamma 90.00
_space_group_name_H-M_alt 'C m m m'
_space_group_IT_number 65
_space_group_name_Hall '-C 2 2'
loop_
_atom_site_label
_atom_site_type_symbol
_atom_site_fract_x
_atom_site_fract_y
_atom_site_fract_z
_atom_site_occupancy
Ac1 Ac 0.000 0.135 0.000 1
Mg1 Mg 0.000 0.500 0.500 1
Cu1 Cu 0.000 0.296 0.500 1
```

Peak list (10 most intense, 2θ = 10–90°, sorted by position)
| d [Å] | 2theta | Rel. int. |
| --- | --- | --- |
| 7.615 | 11.62 | 35 |
| 4.238 | 20.96 | 44 |
| 4.113 | 21.61 | 30 |
| 3.808 | 23.36 | 40 |
| 3.330 | 26.77 | 39 |
| 2.952 | 30.28 | 91 |
| 2.794 | 32.03 | 80 |
| 2.588 | 34.66 | 100 |
| 2.507 | 35.82 | 30 |
| 1.732 | 52.88 | 40 |

No. 2
This entry pairs a crystal structure of AcMg6Cu2 with its computed powder XRD pattern. Radiation: Cu Kα, 1.54184 Å. Structure: DFT lattice parameters and positions (PBE).
No peak broadening, texture or thermal motion is included.

```
data_AcMg6Cu2
_chemical_formula_sum 'Ac1 Mg6 Cu2'
_cell_length_a 4.352
_cell_length_b 4.352
_cell_length_c 10.798
_cell_angle_alpha 90.00
_cell_angle_beta 90.00
_cell_angle_gamma 90.00
_space_group_name_H-M_alt 'P 4/m m m'
_space_group_IT_number 123
_space_group_name_Hall '-P 4 2'
loop_
_atom_site_label
_atom_site_type_symbol
_atom_site_fract_x
_atom_site_fract_y
_atom_site_fract_z
_atom_site_occupancy
Ac1 Ac 0.000 0.000 0.000 1
Mg1 Mg 0.000 0.000 0.500 1
Mg2 Mg 0.000 0.500 0.278 1
Mg3 Mg 0.500 0.500 0.500 1
Cu1 Cu 0.500 0.500 0.118 1
```

Peak list (10 most intense, 2θ = 10–90°, sorted by position)
| d [Å] | 2theta | Rel. int. |
| --- | --- | --- |
| 5.399 | 16.42 | 32 |
| 3.388 | 26.31 | 55 |
| 3.077 | 29.02 | 47 |
| 2.959 | 30.20 | 75 |
| 2.773 | 32.28 | 71 |
| 2.673 | 33.52 | 100 |
| 2.294 | 39.28 | 57 |
| 2.176 | 41.50 | 50 |
| 1.712 | 53.53 | 34 |
| 1.579 | 58.47 | 35 |

No. 3
This entry pairs a crystal structure of AcMg11Cu with its computed powder XRD pattern. Radiation: Cu Kα, 1.54184 Å. Structure: DFT lattice parameters and positions (PBE).
No peak broadening, texture or thermal motion is included.

```
data_AcMg11Cu
_chemical_formula_sum 'Ac2 Mg22 Cu2'
_cell_length_a 5.730
_cell_length_b 14.607
_cell_length_c 7.740
_cell_angle_alpha 90.00
_cell_angle_beta 109.72
_cell_angle_gamma 90.00
_space_group_name_H-M_alt 'C 1 2/m 1'
_space_group_IT_number 12
_space_group_name_Hall '-C 2y'
loop_
_atom_site_label
_atom_site_type_symbol
_atom_site_fract_x
_atom_site_fract_y
_atom_site_fract_z
_atom_site_occupancy
Ac1 Ac 0.000 0.000 0.000 1
Mg1 Mg 0.000 0.000 0.500 1
Mg2 Mg 0.098 0.395 0.227 1
Mg3 Mg 0.180 0.174 0.360 1
Mg4 Mg 0.250 0.250 0.000 1
Cu1 Cu 0.000 0.500 0.500 1
```

Peak list (10 most intense, 2θ = 10–90°, sorted by position)
| d [Å] | 2theta | Rel. int. |
| --- | --- | --- |
| 7.300 | 12.12 | 100 |
| 4.955 | 17.90 | 66 |
| 3.649 | 24.40 | 79 |
| 3.576 | 24.90 | 37 |
| 3.262 | 27.34 | 46 |
| 2.981 | 29.98 | 45 |
| 2.579 | 34.78 | 55 |
| 2.555 | 35.13 | 33 |
| 2.527 | 35.53 | 76 |
| 2.478 | 36.26 | 38 |

No. 4
This entry pairs a crystal structure of Ac4MgCu with its computed powder XRD pattern. Radiation: Cu Kα, 1.54184 Å. Structure: DFT lattice parameters and positions (PBE).
No peak broadening, texture or thermal motion is included.

```
data_Ac4MgCu
_chemical_formula_sum 'Ac4 Mg1 Cu1'
_cell_length_a 5.415
_cell_length_b 5.412
_cell_length_c 8.100
_cell_angle_alpha 90.00
_cell_angle_beta 90.08
_cell_angle_gamma 90.00
_space_group_name_H-M_alt 'P 1 m 1'
_space_group_IT_number 6
_space_group_name_Hall 'P -2y'
loop_
_atom_site_label
_atom_site_type_symbol
_atom_site_fract_x
_atom_site_fract_y
_atom_site_fract_z
_atom_site_occupancy
Ac1 Ac 0.000 0.000 0.000 1
Ac2 Ac 0.001 0.000 0.547 1
Ac3 Ac 0.500 0.500 0.000 1
Ac4 Ac 0.501 0.500 0.547 1
Mg1 Mg 0.000 0.500 0.274 1
Cu1 Cu 0.499 0.000 0.774 1
```

Peak list (10 most intense, 2θ = 10–90°, sorted by position)
| d [Å] | 2theta | Rel. int. |
| --- | --- | --- |
| 4.050 | 21.95 | 41 |
| 3.828 | 23.24 | 78 |
| 2.782 | 32.18 | 100 |
| 2.706 | 33.10 | 53 |
| 2.250 | 40.07 | 36 |
| 1.913 | 47.52 | 23 |
| 1.730 | 52.91 | 16 |
| 1.712 | 53.53 | 17 |
| 1.621 | 56.78 | 16 |
| 1.577 | 58.54 | 37 |

No. 5
This entry pairs a crystal structure of Ac3MgCu2O8 with its computed powder XRD pattern. Radiation: Cu Kα, 1.54184 Å. Structure: DFT lattice parameters and positions (PBE).
No peak broadening, texture or thermal motion is included.

```
data_Ac3MgCu2O8
_chemical_formula_sum 'Ac3 Mg1 Cu2 O8'
_cell_length_a 5.5923
_cell_length_b 5.5923
_cell_length_c 7.3529
_cell_angle_alpha 90.00
_cell_angle_beta 90.00
_cell_angle_gamma 120.00
_space_group_name_H-M_alt 'P -3 m 1'
_space_group_IT_number 164
_space_group_name_Hall '-P 3 2"'
loop_
_atom_site_label
_atom_site_type_symbol
_atom_site_fract_x
_atom_site_fract_y
_atom_site_fract_z
_atom_site_occupancy
Ac1 Ac 0.0000 0.0000 0.0000 1
Ac2 Ac 0.3333 0.6667 0.6320 1
Mg1 Mg 0.0000 0.0000 0.5000 1
Cu1 Cu 0.3333 0.6667 0.1892 1
O1 O 0.1628 0.3256 0.3236 1
O2 O 0.3333 0.6667 0.9411 1
```

Peak list (10 most intense, 2θ = 10–90°, sorted by position)
| d [Å] | 2theta | Rel. int. |
| --- | --- | --- |
| 4.045 | 21.98 | 79 |
| 2.928 | 30.53 | 87 |
| 2.796 | 32.01 | 100 |
| 2.300 | 39.17 | 29 |
| 2.187 | 41.28 | 16 |
| 2.022 | 44.82 | 43 |
| 1.776 | 51.44 | 19 |
| 1.719 | 53.30 | 17 |
| 1.639 | 56.13 | 33 |
| 1.614 | 57.05 | 20 |

No. 6
This entry pairs a crystal structure of AcMnCu4 with its computed powder XRD pattern. Radiation: Cu Kα, 1.54184 Å. Structure: DFT lattice parameters and positions (PBE).
No peak broadening, texture or thermal motion is included.

```
data_AcMnCu4
_chemical_formula_sum 'Ac4 Mn4 Cu16'
_cell_length_a 7.410
_cell_length_b 7.410
_cell_length_c 7.410
_cell_angle_alpha 90.00
_cell_angle_beta 90.00
_cell_angle_gamma 90.00
_space_group_name_H-M_alt 'F -4 3 m'
_space_group_IT_number 216
_space_group_name_Hall 'F -4 2 3'
loop_
_atom_site_label
_atom_site_type_symbol
_atom_site_fract_x
_atom_site_fract_y
_atom_site_fract_z
_atom_site_occupancy
Ac1 Ac 0.000 0.000 0.000 1
Mn1 Mn 0.250 0.250 0.750 1
Cu1 Cu 0.122 0.122 0.378 1
```

Peak list (10 most intense, 2θ = 10–90°, sorted by position)
| d [Å] | 2theta | Rel. int. |
| --- | --- | --- |
| 4.278 | 20.76 | 21 |
| 3.705 | 24.02 | 23 |
| 2.620 | 34.23 | 49 |
| 2.234 | 40.37 | 100 |
| 2.139 | 42.25 | 24 |
| 1.513 | 61.29 | 18 |
| 1.426 | 65.45 | 32 |
| 1.310 | 72.11 | 21 |
| 1.130 | 86.04 | 11 |
| 1.117 | 87.28 | 8 |

No. 7
This entry pairs a crystal structure of AcMnCuP2 with its computed powder XRD pattern. Radiation: Cu Kα, 1.54184 Å. Structure: DFT lattice parameters and positions (PBE).
No peak broadening, texture or thermal motion is included.

```
data_AcMnCuP2
_chemical_formula_sum 'Ac2 Mn2 Cu2 P4'
_cell_length_a 3.960
_cell_length_b 3.960
_cell_length_c 11.837
_cell_angle_alpha 90.00
_cell_angle_beta 90.00
_cell_angle_gamma 90.00
_space_group_name_H-M_alt 'I -4 m 2'
_space_group_IT_number 119
_space_group_name_Hall 'I -4 -2'
loop_
_atom_site_label
_atom_site_type_symbol
_atom_site_fract_x
_atom_site_fract_y
_atom_site_fract_z
_atom_site_occupancy
Ac1 Ac 0.000 0.000 0.000 1
Mn1 Mn 0.000 0.500 0.250 1
Cu1 Cu 0.000 0.500 0.750 1
P1 P 0.000 0.000 0.362 1
```

Peak list (10 most intense, 2θ = 10–90°, sorted by position)
| d [Å] | 2theta | Rel. int. |
| --- | --- | --- |
| 3.755 | 23.69 | 77 |
| 2.959 | 30.20 | 28 |
| 2.796 | 32.02 | 100 |
| 2.531 | 35.47 | 99 |
| 2.032 | 44.59 | 28 |
| 1.980 | 45.83 | 35 |
| 1.751 | 52.23 | 20 |
| 1.645 | 55.88 | 20 |
| 1.616 | 57.00 | 34 |
| 1.613 | 57.12 | 31 |

No. 8
This entry pairs a crystal structure of Ac2MnCuSe5 with its computed powder XRD pattern. Radiation: Cu Kα, 1.54184 Å. Structure: DFT lattice parameters and positions (PBE).
No peak broadening, texture or thermal motion is included.

```
data_Ac2MnCuSe5
_chemical_formula_sum 'Ac8 Mn4 Cu4 Se20'
_cell_length_a 4.200
_cell_length_b 18.064
_cell_length_c 12.046
_cell_angle_alpha 90.00
_cell_angle_beta 90.00
_cell_angle_gamma 90.00
_space_group_name_H-M_alt 'C m c 21'
_space_group_IT_number 36
_space_group_name_Hall 'C 2c -2'
loop_
_atom_site_label
_atom_site_type_symbol
_atom_site_fract_x
_atom_site_fract_y
_atom_site_fract_z
_atom_site_occupancy
Ac1 Ac 0.000 0.118 0.000 1
Ac2 Ac 0.000 0.127 0.607 1
Mn1 Mn 0.000 0.199 0.315 1
Cu1 Cu 0.000 0.428 0.746 1
Se1 Se 0.000 0.062 0.345 1
Se2 Se 0.000 0.289 0.959 1
Se3 Se 0.000 0.301 0.661 1
Se4 Se 0.000 0.347 0.306 1
Se5 Se 0.000 0.500 0.074 1
```

Peak list (10 most intense, 2θ = 10–90°, sorted by position)
| d [Å] | 2theta | Rel. int. |
| --- | --- | --- |
| 6.023 | 14.71 | 21 |
| 4.516 | 19.66 | 31 |
| 3.669 | 24.26 | 31 |
| 2.990 | 29.88 | 40 |
| 2.921 | 30.61 | 30 |
| 2.865 | 31.22 | 100 |
| 2.739 | 32.70 | 38 |
| 2.493 | 36.02 | 46 |
| 2.328 | 38.68 | 22 |
| 2.100 | 43.08 | 33 |